Li2MgZnSn2Pt2: calculated X-ray powder pattern (Cu Kα), based on the PBE geometry in OQMD.
Kinematic intensities with the Lorentz-polarization factor, no thermal factor.

Principal peaks in the range 2θ from 10° to 80°, low angle first:
d 6.427, I 2, (0 0 1)
d 4.538, I 1, (1 0 0)
d 3.707, I 72, (1 0 1)
d 2.270, I 100, (2 0 0)
d 1.936, I 37, (2 1 1)
d 1.605, I 17, (2 2 0)
d 1.473, I 16, (3 0 1)
d 1.311, I 35, (3 1 2)
d 1.236, I 6, (3 0 3)
d 1.235, I 6, (3 2 1)

Crystal structure
Cell: 4.5385 4.5385 6.4270 Å, 90.00 90.00 90.00°
Fractional coordinates of all 8 atoms:
Li1 0.0000 0.5000 0.2381
Li2 0.5000 0.0000 0.7619
Mg1 0.0000 0.0000 0.5000
Zn1 0.5000 0.5000 0.0000
Sn1 0.0000 0.0000 0.0000
Sn2 0.5000 0.5000 0.5000
Pt1 0.0000 0.5000 0.7567
Pt2 0.5000 0.0000 0.2433